1.
This entry pairs a crystal structure of Tl2Cu2Se2S with its theoretical powder X-ray diffraction pattern. Radiation: CuKα. Structure: a structure optimized by DFT (PBE).
Intensities are scaled so that the largest is 100.

Peak list (8 most intense, 2θ from 10° to 80°, most intense first)
two_theta	intensity	hkl
29.25	100	1 0 -1
32.82	73	1 0 2
28.65	71	0 2 1
34.78	49	1 -1 1
24.85	47	0 1 2
33.44	43	1 2 2
49.99	40	1 1 4
24.22	38	1 1 1

Atomic structure:
```
data_Tl2Cu2Se2S
_cell_length_a 3.8952
_cell_length_b 6.5357
_cell_length_c 7.6315
_cell_angle_alpha 65.88
_cell_angle_beta 75.22
_cell_angle_gamma 72.85
_symmetry_space_group_name_H-M 'P -1'
_symmetry_Int_Tables_number 2
loop_
_symmetry_equiv_pos_as_xyz
'x,y,z'
'-x,-y,-z'
loop_
_atom_site_label
_atom_site_fract_x
_atom_site_fract_y
_atom_site_fract_z
_atom_site_occupancy
Tl1 0.0650 0.1956 0.1762 1
Cu1 0.2986 0.3298 0.5712 1
Se1 0.3097 0.6368 0.2445 1
S1 0.5000 0.0000 0.5000 1
```

=====

2.
This entry pairs a crystal structure of Tl2Cu2SeS2 with its theoretical powder X-ray diffraction pattern. Radiation: CuKα. Structure: a structure optimized by DFT (PBE).
Intensities are scaled so that the largest is 100.

Peak list (8 most intense, 2θ from 10° to 80°, most intense first)
two_theta	intensity	hkl
29.17	100	1 0 1
27.56	66	0 2 -1
24.14	61	0 1 1
34.01	58	1 0 -2
31.22	35	0 2 -2
24.00	30	1 -1 0
37.38	28	0 1 -3
46.49	27	2 -1 0

Atomic structure:
```
data_Tl2Cu2SeS2
_cell_length_a 3.9065
_cell_length_b 6.7568
_cell_length_c 7.2266
_cell_angle_alpha 113.50
_cell_angle_beta 90.17
_cell_angle_gamma 106.56
_symmetry_space_group_name_H-M 'P -1'
_symmetry_Int_Tables_number 2
loop_
_symmetry_equiv_pos_as_xyz
'x,y,z'
'-x,-y,-z'
loop_
_atom_site_label
_atom_site_fract_x
_atom_site_fract_y
_atom_site_fract_z
_atom_site_occupancy
Tl1 0.0844 0.1657 0.3576 1
Cu1 0.2948 0.5886 0.9242 1
Se1 0.5000 0.0000 0.0000 1
S1 0.2837 0.5684 0.2405 1
```

=====

3.
This entry pairs a crystal structure of U2CuSe2S2 with its theoretical powder X-ray diffraction pattern. Radiation: CuKα. Structure: a structure optimized by DFT (PBE).
Intensities are scaled so that the largest is 100.

Peak list (8 most intense, 2θ from 10° to 80°, most intense first)
two_theta	intensity	hkl
24.48	100	1 0 1
40.68	46	1 1 0
28.10	38	0 1 2
39.64	36	1 0 4
46.69	26	0 1 5
33.34	23	1 0 3
23.66	17	0 0 3
48.05	17	0 2 1

Atomic structure:
```
data_U2CuSe2S2
_cell_length_a 4.4358
_cell_length_b 4.4358
_cell_length_c 11.2823
_cell_angle_alpha 90.00
_cell_angle_beta 90.00
_cell_angle_gamma 120.00
_symmetry_space_group_name_H-M 'P -3 m 1'
_symmetry_Int_Tables_number 164
_symmetry_space_group_name_Hall '-P 3 2"'
loop_
_atom_site_label
_atom_site_fract_x
_atom_site_fract_y
_atom_site_fract_z
_atom_site_occupancy
U1 0.3333 0.6667 0.1630 1
Cu1 0.0000 0.0000 0.5000 1
Se1 0.0000 0.0000 0.2998 1
S1 0.3333 0.6667 0.9153 1
```

=====

4.
This entry pairs a crystal structure of Tb3CuSiS7 with its theoretical powder X-ray diffraction pattern. Radiation: CuKα. Structure: a structure optimized by DFT (PBE).
Intensities are scaled so that the largest is 100.

Peak list (8 most intense, 2θ from 10° to 80°, most intense first)
two_theta	intensity	hkl
25.93	100	2 0 1
37.69	48	1 3 0
42.11	48	1 2 2
40.98	45	3 1 1
36.16	42	2 2 0
23.74	38	1 1 1
27.42	37	1 2 0
18.65	31	1 0 1

Atomic structure:
```
data_Tb3CuSiS7
_cell_length_a 9.9371
_cell_length_b 9.9371
_cell_length_c 5.7107
_cell_angle_alpha 90.00
_cell_angle_beta 90.00
_cell_angle_gamma 120.00
_symmetry_space_group_name_H-M 'P 63'
_symmetry_Int_Tables_number 173
loop_
_symmetry_equiv_pos_as_xyz
'x,y,z'
'x-y,x,z+1/2'
'-y,x-y,z'
'-x,-y,z+1/2'
'-x+y,-x,z'
'y,-x+y,z+1/2'
loop_
_atom_site_label
_atom_site_fract_x
_atom_site_fract_y
_atom_site_fract_z
_atom_site_occupancy
Tb1 0.1274 0.3568 0.0000 1
Cu1 0.0000 0.0000 0.4592 1
Si1 0.3333 0.6667 0.5885 1
S1 0.0928 0.2572 0.4757 1
S2 0.1073 0.5848 0.7378 1
S3 0.3333 0.6667 0.2187 1
```

=====

5.
This entry pairs a crystal structure of Y3CuSiS7 with its theoretical powder X-ray diffraction pattern. Radiation: CuKα. Structure: a structure optimized by DFT (PBE).
Intensities are scaled so that the largest is 100.

Peak list (8 most intense, 2θ from 10° to 80°, most intense first)
two_theta	intensity	hkl
37.77	100	1 3 0
25.95	89	2 0 1
36.23	82	2 2 0
42.13	75	1 2 2
33.05	63	1 0 2
10.30	58	1 0 0
41.04	50	3 1 1
48.61	45	2 2 2

Atomic structure:
```
data_Y3CuSiS7
_cell_length_a 9.9207
_cell_length_b 9.9207
_cell_length_c 5.7124
_cell_angle_alpha 90.00
_cell_angle_beta 90.00
_cell_angle_gamma 120.00
_symmetry_space_group_name_H-M 'P 63'
_symmetry_Int_Tables_number 173
loop_
_symmetry_equiv_pos_as_xyz
'x,y,z'
'x-y,x,z+1/2'
'-y,x-y,z'
'-x,-y,z+1/2'
'-x+y,-x,z'
'y,-x+y,z+1/2'
loop_
_atom_site_label
_atom_site_fract_x
_atom_site_fract_y
_atom_site_fract_z
_atom_site_occupancy
Y1 0.1280 0.3569 0.0000 1
Cu1 0.0000 0.0000 0.4576 1
Si1 0.3333 0.6667 0.5886 1
S1 0.0935 0.2575 0.4737 1
S2 0.1071 0.5844 0.7387 1
S3 0.3333 0.6667 0.2188 1
```

=====

6.
This entry pairs a crystal structure of Sm7CuS5 with its theoretical powder X-ray diffraction pattern. Radiation: CuKα. Structure: a structure optimized by DFT (PBE).
Intensities are scaled so that the largest is 100.

Peak list (8 most intense, 2θ from 10° to 80°, most intense first)
two_theta	intensity	hkl
29.27	100	0 1 7
31.24	83	1 2 2
32.35	64	-1 1 3
27.76	49	1 0 -4
55.23	34	2 0 7
45.74	32	2 1 0
25.95	31	1 0 -3
27.25	28	0 2 1

Atomic structure:
```
data_Sm7CuS5
_cell_length_a 3.9677
_cell_length_b 6.8951
_cell_length_c 24.0748
_cell_angle_alpha 89.98
_cell_angle_beta 90.00
_cell_angle_gamma 73.38
_symmetry_space_group_name_H-M 'P -1'
_symmetry_Int_Tables_number 2
loop_
_symmetry_equiv_pos_as_xyz
'x,y,z'
'-x,-y,-z'
loop_
_atom_site_label
_atom_site_fract_x
_atom_site_fract_y
_atom_site_fract_z
_atom_site_occupancy
Sm1 0.0374 0.4261 0.2500 1
Sm2 0.1363 0.2262 0.5369 1
Sm3 0.1368 0.2252 0.9631 1
Sm4 0.3133 0.8740 0.3238 1
Sm5 0.3130 0.8745 0.1761 1
Sm6 0.4122 0.6749 0.8928 1
Sm7 0.4118 0.6757 0.6072 1
Cu1 0.2980 0.9033 0.7503 1
S1 0.0473 0.4045 0.8574 1
S2 0.0481 0.4029 0.6427 1
S3 0.2254 0.0505 0.4292 1
S4 0.2260 0.0491 0.0707 1
S5 0.5000 0.5000 0.0000 1
S6 0.5000 0.5000 0.5000 1
```

=====

7.
This entry pairs a crystal structure of Sm4CuS5 with its theoretical powder X-ray diffraction pattern. Radiation: CuKα. Structure: a structure optimized by DFT (PBE).
Intensities are scaled so that the largest is 100.

Peak list (8 most intense, 2θ from 10° to 80°, most intense first)
two_theta	intensity	hkl
32.12	100	1 0 10
27.49	55	0 1 5
45.45	39	1 1 0
46.67	29	0 1 20
56.74	19	0 2 10
75.52	16	2 1 10
54.48	16	1 1 15
28.42	15	0 0 15

Atomic structure:
```
data_Sm4CuS5
_cell_length_a 3.9911
_cell_length_b 3.9911
_cell_length_c 47.0995
_cell_angle_alpha 90.00
_cell_angle_beta 90.00
_cell_angle_gamma 120.00
_symmetry_space_group_name_H-M 'R -3 m'
_symmetry_Int_Tables_number 166
_symmetry_space_group_name_Hall '-R 3 2"'
loop_
_atom_site_label
_atom_site_fract_x
_atom_site_fract_y
_atom_site_fract_z
_atom_site_occupancy
Sm1 0.0000 0.0000 0.1054 1
Sm2 0.0000 0.0000 0.2983 1
Cu1 0.0000 0.0000 0.5000 1
S1 0.0000 0.0000 0.0000 1
S2 0.0000 0.0000 0.1945 1
S3 0.0000 0.0000 0.4036 1
```

=====

8.
This entry pairs a crystal structure of Cu2SnS3 with its theoretical powder X-ray diffraction pattern. Radiation: CuKα. Structure: a structure optimized by DFT (PBE).
Intensities are scaled so that the largest is 100.

Peak list (8 most intense, 2θ from 10° to 80°, most intense first)
two_theta	intensity	hkl
28.19	100	0 0 2
46.98	50	3 3 -1
28.29	32	2 0 0
55.68	31	4 0 -2
46.80	26	1 3 -3
32.74	15	1 3 1
55.52	9	3 3 -3
55.80	9	3 3 1

Atomic structure:
```
data_Cu2SnS3
_cell_length_a 6.7019
_cell_length_b 11.6077
_cell_length_c 6.7327
_cell_angle_alpha 90.00
_cell_angle_beta 109.72
_cell_angle_gamma 90.00
_symmetry_space_group_name_H-M 'C 1 c 1'
_symmetry_Int_Tables_number 9
loop_
_symmetry_equiv_pos_as_xyz
'x,y,z'
'x,-y,z+1/2'
'x+1/2,y+1/2,z'
'x+1/2,-y+1/2,z+1/2'
loop_
_atom_site_label
_atom_site_fract_x
_atom_site_fract_y
_atom_site_fract_z
_atom_site_occupancy
Cu1 0.0000 0.0815 0.0000 1
Cu2 0.4890 0.2524 0.0000 1
Sn1 0.4786 0.0926 0.4826 1
S1 0.0919 0.0846 0.3639 1
S2 0.1234 0.2387 0.8637 1
S3 0.1292 0.4084 0.3835 1
```

=====

9.
This entry pairs a crystal structure of Cu3Sn3S8 with its theoretical powder X-ray diffraction pattern. Radiation: CuKα. Structure: a structure optimized by DFT (PBE).
Intensities are scaled so that the largest is 100.

Peak list (8 most intense, 2θ from 10° to 80°, most intense first)
two_theta	intensity	hkl
28.30	100	0 2 1
34.39	64	0 2 4
49.18	48	2 2 0
49.68	44	2 0 8
28.55	31	0 1 5
14.85	23	0 0 3
45.15	22	1 2 5
24.25	16	1 0 4

Atomic structure:
```
data_Cu3Sn3S8
_cell_length_a 7.4101
_cell_length_b 7.4101
_cell_length_c 17.8994
_cell_angle_alpha 90.00
_cell_angle_beta 90.00
_cell_angle_gamma 120.00
_symmetry_space_group_name_H-M 'R -3 m'
_symmetry_Int_Tables_number 166
_symmetry_space_group_name_Hall '-R 3 2"'
loop_
_atom_site_label
_atom_site_fract_x
_atom_site_fract_y
_atom_site_fract_z
_atom_site_occupancy
Cu1 0.0000 0.0000 0.0000 1
Cu2 0.0000 0.0000 0.3883 1
Sn1 0.0000 0.5000 0.5000 1
S1 0.0000 0.0000 0.2518 1
S2 0.0173 0.5086 0.7483 1
```

=====

10.
This entry pairs a crystal structure of Cu2SnS3 with its theoretical powder X-ray diffraction pattern. Radiation: CuKα. Structure: a structure optimized by DFT (PBE).
Intensities are scaled so that the largest is 100.

Peak list (8 most intense, 2θ from 10° to 80°, most intense first)
two_theta	intensity	hkl
28.10	100	1 1 -1
28.33	94	3 1 0
47.02	92	6 0 0
55.26	28	1 1 2
55.66	28	5 1 1
32.55	22	2 0 1
46.39	20	2 0 -2
56.10	13	3 3 0

Atomic structure:
```
data_Cu2SnS3
_cell_length_a 12.2419
_cell_length_b 5.4304
_cell_length_c 3.9144
_cell_angle_alpha 90.00
_cell_angle_beta 108.64
_cell_angle_gamma 90.00
_symmetry_space_group_name_H-M 'C 1 2 1'
_symmetry_Int_Tables_number 5
loop_
_symmetry_equiv_pos_as_xyz
'x,y,z'
'-x,y,-z'
'x+1/2,y+1/2,z'
'-x+1/2,y+1/2,-z'
loop_
_atom_site_label
_atom_site_fract_x
_atom_site_fract_y
_atom_site_fract_z
_atom_site_occupancy
Cu1 0.1712 0.0000 0.1691 1
Sn1 0.0000 0.5300 0.5000 1
S1 0.0000 0.2308 0.0000 1
S2 0.1769 0.7749 0.6755 1
```

=====

11.
This entry pairs a crystal structure of Cu2SnS3 with its theoretical powder X-ray diffraction pattern. Radiation: CuKα. Structure: a structure optimized by DFT (PBE).
Intensities are scaled so that the largest is 100.

Peak list (8 most intense, 2θ from 10° to 80°, most intense first)
two_theta	intensity	hkl
28.22	100	0 6 2
46.87	38	2 6 4
55.72	27	2 12 2
46.99	19	0 12 0
55.51	14	0 6 6
32.75	11	2 6 0
75.62	10	2 12 6
32.59	6	0 0 4

Atomic structure:
```
data_Cu2SnS3
_cell_length_a 7.7338
_cell_length_b 23.2060
_cell_length_c 10.9908
_cell_angle_alpha 90.00
_cell_angle_beta 90.00
_cell_angle_gamma 90.00
_symmetry_space_group_name_H-M 'F d d 2'
_symmetry_Int_Tables_number 43
_symmetry_space_group_name_Hall 'F 2 -2d'
loop_
_atom_site_label
_atom_site_fract_x
_atom_site_fract_y
_atom_site_fract_z
_atom_site_occupancy
Cu1 0.0000 0.0000 0.0000 1
Cu2 0.0000 0.0000 0.4935 1
Cu3 0.0075 0.3335 0.5022 1
Sn1 0.0156 0.1710 0.5001 1
S1 0.0025 0.2448 0.1323 1
S2 0.0125 0.4210 0.1263 1
S3 0.0160 0.0831 0.1152 1
```

=====

12.
This entry pairs a crystal structure of Cu4SnS5 with its theoretical powder X-ray diffraction pattern. Radiation: CuKα. Structure: a structure optimized by DFT (PBE).
Intensities are scaled so that the largest is 100.

Peak list (8 most intense, 2θ from 10° to 80°, most intense first)
two_theta	intensity	hkl
35.74	100	3 1 0
50.98	69	3 1 2
30.65	52	1 2 1
35.13	52	0 0 2
63.81	33	2 4 2
51.43	33	2 4 0
61.07	16	5 0 1
75.71	10	6 2 0

Atomic structure:
```
data_Cu4SnS5
_cell_length_a 7.9455
_cell_length_b 7.9455
_cell_length_c 5.1090
_cell_angle_alpha 90.00
_cell_angle_beta 90.00
_cell_angle_gamma 90.00
_symmetry_space_group_name_H-M 'I 4/m'
_symmetry_Int_Tables_number 87
_symmetry_space_group_name_Hall '-I 4'
loop_
_atom_site_label
_atom_site_fract_x
_atom_site_fract_y
_atom_site_fract_z
_atom_site_occupancy
Cu1 0.1076 0.6994 0.0000 1
Sn1 0.0000 0.0000 0.5000 1
S1 0.0000 0.0000 0.0000 1
S2 0.1023 0.6883 0.5000 1
```